# 1
Diffraction record for NaPbSeO4. The powder diffractogram is simulated, not measured: it uses the GGA-PBE geometry in Alexandria and a wavelength of 1.5418 Å.
Lines closer than 0.1° are merged.

Structure:
```
NaPbSeO4
1.0
-3.299 3.524 4.739
3.299 -3.524 4.739
3.299 3.524 -4.739
Na Pb Se O
2 2 2 8
Cartesian
0.000 0.000 0.000
0.000 3.524 0.000
-1.649 1.762 2.369
1.649 1.762 2.369
3.299 1.762 -1.183
0.000 1.762 5.922
3.299 -0.310 2.168
3.299 3.214 -2.168
1.898 1.762 -0.153
4.700 1.762 -0.153
-1.401 1.762 4.892
1.401 1.762 4.892
0.000 0.310 6.907
0.000 3.834 2.571
```

Peak list (6 most intense, 10 to 80 degrees two-theta, in order of rising 2θ)
| 2θ/deg | Rel. int. |
| --- | --- |
| 15.67 | 59 |
| 18.72 | 36 |
| 25.27 | 40 |
| 31.02 | 47 |
| 31.39 | 100 |
| 54.31 | 35 |

# 2
Diffraction record for BaErCdGa. The powder diffractogram is simulated, not measured: it uses the GGA-PBE geometry in Alexandria and a wavelength of 1.5418 Å.
Lines closer than 0.1° are merged.

Structure:
```
BaErCdGa
1.0
0.000 3.907 3.907
3.907 0.000 3.907
3.907 3.907 0.000
Ba Er Cd Ga
1 1 1 1
Cartesian
0.000 0.000 0.000
3.907 3.907 3.907
1.953 1.953 1.953
5.860 5.860 5.860
```

Peak list (6 most intense, 10 to 80 degrees two-theta, in order of rising 2θ)
| 2θ/deg | Rel. int. |
| --- | --- |
| 22.76 | 6 |
| 32.41 | 100 |
| 46.49 | 18 |
| 57.81 | 38 |
| 67.86 | 12 |
| 77.22 | 16 |